# 1
Structure and computed X-ray powder pattern of MgCr2Ge4O12 (the GGA+U geometry in the Materials Project; Cu Kα, 1.54184 Å).
Neutral-atom scattering factors, no anomalous dispersion.

Crystal structure
```
data_MgCr2Ge4O12
_chemical_formula_sum 'Mg1 Cr2 Ge4 O12'
_space_group_name_H-M_alt 'P 1'
_space_group_IT_number 1
_cell_length_a 5.5879
_cell_length_b 6.7001
_cell_length_c 6.8253
_cell_angle_alpha 83.00
_cell_angle_beta 76.74
_cell_angle_gamma 74.51
loop_
_space_group_symop_operation_xyz
'x,y,z'
loop_
_atom_site_label
_atom_site_type_symbol
_atom_site_fract_x
_atom_site_fract_y
_atom_site_fract_z
Mg1 Mg 0.0000 0.0000 0.0000
Cr1 Cr 0.4092 0.6407 0.1106
Cr2 Cr 0.9072 0.4693 0.2791
Ge1 Ge 0.3886 0.1966 0.9763
Ge2 Ge 0.4328 0.7430 0.5848
Ge3 Ge 0.8491 0.4102 0.7974
Ge4 Ge 0.9075 0.9356 0.4309
O1 O 0.0083 0.7577 0.2239
O2 O 0.1047 0.8830 0.6136
O3 O 0.1562 0.2307 0.8272
O4 O 0.2902 0.3752 0.1668
O5 O 0.3769 0.9402 0.0573
O6 O 0.4445 0.5870 0.8132
O7 O 0.5247 0.5969 0.3704
O8 O 0.5946 0.9419 0.5612
O9 O 0.7148 0.1803 0.8646
O10 O 0.7863 0.5478 0.0173
O11 O 0.8933 0.1678 0.2741
O12 O 0.9231 0.5092 0.5537
```

Top 10 peaks for 10 to 90 degrees two-theta, sorted by position:
2θ (°)  Rel. int.  index
18.57  365  0 1 1
18.93  218  1 1 0
19.24  302  1 0 1
19.83  421  0 1 -1
26.54  195  1 -1 1
28.69  1000  1 2 0
29.50  553  0 1 2
34.02  485  2 0 0
36.10  236  1 -2 0
45.61  266  1 3 -1

---

# 2
Structure and computed X-ray powder pattern of KMgAlMo2O8 (the GGA+U geometry in the Materials Project; Cu Kα, 1.54184 Å).
Neutral-atom scattering factors, no anomalous dispersion.

Crystal structure
```
data_KMgAlMo2O8
_chemical_formula_sum 'K1 Mg1 Al1 Mo2 O8'
_space_group_name_H-M_alt 'P 3 m 1'
_space_group_IT_number 156
_cell_length_a 5.5512
_cell_length_b 5.5512
_cell_length_c 6.9058
_cell_angle_alpha 90.00
_cell_angle_beta 90.00
_cell_angle_gamma 120.00
loop_
_space_group_symop_operation_xyz
'x,y,z'
'-y,x-y,z'
'-x+y,-x,z'
'-y,-x,z'
'-x+y,y,z'
'x,x-y,z'
loop_
_atom_site_label
_atom_site_type_symbol
_atom_site_fract_x
_atom_site_fract_y
_atom_site_fract_z
K1 K 0.0000 0.0000 0.0000
Mg1 Mg 0.6667 0.3333 0.6635
Al1 Al 0.0000 0.0000 0.5169
Mo1 Mo 0.3333 0.6667 0.8009
Mo2 Mo 0.6667 0.3333 0.2204
O1 O 0.1573 0.3145 0.6604
O2 O 0.3308 0.1654 0.3353
O3 O 0.3333 0.6667 0.0634
O4 O 0.6667 0.3333 0.9519
```

Top 10 peaks for 10 to 90 degrees two-theta, sorted by position:
2θ (°)  Rel. int.  index
22.53  1000  0 1 1
31.91  342  1 0 2
32.25  628  1 1 0
34.84  120  1 1 1
43.59  185  0 1 3
46.01  276  0 2 2
52.04  198  1 2 1
57.30  131  2 1 2
57.51  110  3 0 0
67.49  123  2 2 0

---

# 3
Structure and computed X-ray powder pattern of LiFeF4 (the GGA+U geometry in the Materials Project; Cu Kα, 1.54184 Å).
Neutral-atom scattering factors, no anomalous dispersion.

Crystal structure
```
data_LiFeF4
_chemical_formula_sum 'Li2 Fe2 F8'
_space_group_name_H-M_alt 'P 1 21/c 1'
_space_group_IT_number 14
_cell_length_a 5.6494
_cell_length_b 4.7727
_cell_length_c 5.6591
_cell_angle_alpha 90.00
_cell_angle_beta 114.64
_cell_angle_gamma 90.00
loop_
_space_group_symop_operation_xyz
'x,y,z'
'-x,-y,-z'
'-x,y+1/2,-z+1/2'
'x,-y+1/2,z+1/2'
loop_
_atom_site_label
_atom_site_type_symbol
_atom_site_fract_x
_atom_site_fract_y
_atom_site_fract_z
Li1 Li 0.0000 0.0000 0.0000
Fe1 Fe 0.5000 0.0000 0.5000
F1 F 0.1729 0.1855 0.3624
F2 F 0.3576 0.7069 0.6602
```

Top 10 peaks for 10 to 90 degrees two-theta, sorted by position:
2θ (°)  Rel. int.  index
17.27  950  1 0 0
25.46  696  0 1 1
26.45  1000  1 1 -1
34.90  248  0 0 2
37.10  171  2 1 -1
39.84  534  0 1 2
42.41  203  2 1 -2
52.33  525  2 2 0
54.45  250  2 2 -2
66.24  164  1 3 1

---

# 4
Structure and computed X-ray powder pattern of BaAlCo4O7 (the GGA+U geometry in the Materials Project; Cu Kα, 1.54184 Å).
Neutral-atom scattering factors, no anomalous dispersion.

Crystal structure
```
data_BaAlCo4O7
_chemical_formula_sum 'Ba2 Al2 Co8 O14'
_space_group_name_H-M_alt 'P 63 m c'
_space_group_IT_number 186
_space_group_name_Hall 'P 6c -2c'
_cell_length_a 6.0694
_cell_length_b 6.0694
_cell_length_c 9.9336
_cell_angle_alpha 90.00
_cell_angle_beta 90.00
_cell_angle_gamma 120.00
loop_
_atom_site_label
_atom_site_type_symbol
_atom_site_fract_x
_atom_site_fract_y
_atom_site_fract_z
Ba1 Ba 0.3333 0.6667 0.0000
Al1 Al 0.3333 0.6667 0.3745
Co1 Co 0.0000 0.0000 0.4380
Co2 Co 0.1780 0.3560 0.6826
O1 O 0.0000 0.0000 0.2409
O2 O 0.0277 0.5138 0.2607
O3 O 0.1814 0.3628 0.4892
```

Top 10 peaks for 10 to 90 degrees two-theta, sorted by position:
2θ (°)  Rel. int.  index
19.10  253  1 0 1
29.43  263  1 1 0
31.94  621  1 0 3
34.64  812  1 1 2
35.33  1000  2 0 1
36.17  235  0 0 4
53.81  223  2 1 3
55.62  211  3 0 2
58.21  336  2 0 5
61.07  332  2 2 0

---

# 5
Structure and computed X-ray powder pattern of Eu2Mn2O5 (the GGA+U geometry in the Materials Project; Cu Kα, 1.54184 Å).
Neutral-atom scattering factors, no anomalous dispersion.

Crystal structure
```
data_Eu2Mn2O5
_chemical_formula_sum 'Eu8 Mn8 O20'
_space_group_name_H-M_alt 'I m a 2'
_space_group_IT_number 46
_cell_length_a 15.9357
_cell_length_b 5.6533
_cell_length_c 5.4848
_cell_angle_alpha 90.00
_cell_angle_beta 90.00
_cell_angle_gamma 90.00
loop_
_space_group_symop_operation_xyz
'x,y,z'
'-x,-y,z'
'-x+1/2,y,z'
'x+1/2,-y,z'
'x+1/2,y+1/2,z+1/2'
'-x+1/2,-y+1/2,z+1/2'
'-x,y+1/2,z+1/2'
'x,-y+1/2,z+1/2'
loop_
_atom_site_label
_atom_site_type_symbol
_atom_site_fract_x
_atom_site_fract_y
_atom_site_fract_z
Eu1 Eu 0.1107 0.0178 0.0000
Mn1 Mn 0.0000 0.0000 0.5085
Mn2 Mn 0.2500 0.5527 0.9709
O1 O 0.0134 0.7454 0.7556
O2 O 0.1324 0.0635 0.5311
O3 O 0.2500 0.5956 0.5891
```

Top 10 peaks for 10 to 90 degrees two-theta, sorted by position:
2θ (°)  Rel. int.  index
22.59  281  0 1 1
31.65  324  0 2 0
31.96  1000  4 1 1
32.65  337  0 0 2
39.07  120  4 2 0
40.99  133  6 1 1
45.54  125  8 0 0
46.12  288  0 2 2
56.56  270  4 3 1
57.84  215  4 1 3

---

# 6
Structure and computed X-ray powder pattern of LiV2Zn2Si2O10 (the GGA+U geometry in the Materials Project; Cu Kα, 1.54184 Å).
Neutral-atom scattering factors, no anomalous dispersion.

Crystal structure
```
data_LiV2Zn2Si2O10
_chemical_formula_sum 'Li1 V2 Zn2 Si2 O10'
_space_group_name_H-M_alt 'P 1'
_space_group_IT_number 1
_cell_length_a 5.3329
_cell_length_b 5.5407
_cell_length_c 7.2522
_cell_angle_alpha 107.51
_cell_angle_beta 108.85
_cell_angle_gamma 96.20
loop_
_space_group_symop_operation_xyz
'x,y,z'
loop_
_atom_site_label
_atom_site_type_symbol
_atom_site_fract_x
_atom_site_fract_y
_atom_site_fract_z
Li1 Li 0.0000 0.0000 0.0000
V1 V 0.4735 0.0733 0.8042
V2 V 0.5296 0.0836 0.3130
Zn1 Zn 0.2441 0.4282 0.5332
Zn2 Zn 0.7312 0.6634 0.0762
Si1 Si 0.1763 0.4690 0.0629
Si2 Si 0.8172 0.7087 0.5622
O1 O 0.1085 0.8798 0.7472
O2 O 0.1848 0.7814 0.1505
O3 O 0.2704 0.3282 0.2379
O4 O 0.3665 0.4054 0.9230
O5 O 0.4163 0.1317 0.5608
O6 O 0.5813 0.7285 0.6668
O7 O 0.6253 0.9982 0.0512
O8 O 0.7439 0.8144 0.3679
O9 O 0.8515 0.4042 0.4760
O10 O 0.8526 0.3388 0.9268
```

Top 10 peaks for 10 to 90 degrees two-theta, sorted by position:
2θ (°)  Rel. int.  index
18.05  248  1 0 0
26.91  134  1 0 -2
27.02  1000  0 1 -2
27.81  815  1 1 0
35.24  234  -1 1 2
35.51  493  1 -2 0
36.78  268  2 -1 0
39.45  146  1 2 -2
44.32  269  2 1 0
53.64  167  1 -3 2

---

# 7
Structure and computed X-ray powder pattern of FeH2C4N4Cl6O (the GGA+U geometry in the Materials Project; Cu Kα, 1.54184 Å).
Neutral-atom scattering factors, no anomalous dispersion.

Crystal structure
```
data_FeH2C4N4Cl6O
_chemical_formula_sum 'Fe2 H4 C8 N8 Cl12 O2'
_space_group_name_H-M_alt 'P b a 2'
_space_group_IT_number 32
_cell_length_a 9.6183
_cell_length_b 12.2173
_cell_length_c 7.1125
_cell_angle_alpha 90.00
_cell_angle_beta 90.00
_cell_angle_gamma 90.00
loop_
_space_group_symop_operation_xyz
'x,y,z'
'-x,-y,z'
'-x+1/2,y+1/2,z'
'x+1/2,-y+1/2,z'
loop_
_atom_site_label
_atom_site_type_symbol
_atom_site_fract_x
_atom_site_fract_y
_atom_site_fract_z
Fe1 Fe 0.0000 0.0000 0.0000
H1 H 0.0336 0.4418 0.5313
C1 C 0.1333 0.3307 0.0518
C2 C 0.2307 0.1748 0.4904
N1 N 0.0768 0.3543 0.9097
N2 N 0.2159 0.0790 0.4999
Cl1 Cl 0.0789 0.8804 0.7649
Cl2 Cl 0.0854 0.8780 0.2333
Cl3 Cl 0.2150 0.0891 0.9950
O1 O 0.0000 0.5000 0.6131
```

Top 10 peaks for 10 to 90 degrees two-theta, sorted by position:
2θ (°)  Rel. int.  index
11.71  1000  1 1 0
12.45  430  0 0 1
14.50  191  0 2 0
17.12  268  1 1 1
26.88  168  1 3 1
30.54  291  1 2 2
31.51  391  3 2 0
32.15  180  2 1 2
34.77  203  1 3 2
43.35  142  2 4 2

---

# 8
Structure and computed X-ray powder pattern of Mn4ZnO9 (the GGA+U geometry in the Materials Project; Cu Kα, 1.54184 Å).
Neutral-atom scattering factors, no anomalous dispersion.

Crystal structure
```
data_Mn4ZnO9
_chemical_formula_sum 'Mn8 Zn2 O18'
_space_group_name_H-M_alt 'P 4/n'
_space_group_IT_number 85
_cell_length_a 8.5572
_cell_length_b 8.5572
_cell_length_c 4.7616
_cell_angle_alpha 90.00
_cell_angle_beta 90.00
_cell_angle_gamma 90.00
loop_
_space_group_symop_operation_xyz
'x,y,z'
'-x,-y,-z'
'-y+1/2,x,z'
'y+1/2,-x,-z'
'-x+1/2,-y+1/2,z'
'x+1/2,y+1/2,-z'
'y,-x+1/2,z'
'-y,x+1/2,-z'
loop_
_atom_site_label
_atom_site_type_symbol
_atom_site_fract_x
_atom_site_fract_y
_atom_site_fract_z
Mn1 Mn 0.0323 0.6596 0.1033
Zn1 Zn 0.2500 0.2500 0.4941
O1 O 0.0282 0.3147 0.5474
O2 O 0.0378 0.1414 0.0301
O3 O 0.2500 0.7500 0.0000
```

Top 10 peaks for 10 to 90 degrees two-theta, sorted by position:
2θ (°)  Rel. int.  index
18.63  562  0 0 1
23.78  1000  1 1 1
28.04  612  2 0 1
29.96  910  2 1 1
33.10  923  1 3 0
37.79  362  0 0 2
44.84  448  2 1 2
47.52  693  4 2 0
51.47  318  4 2 1
63.43  297  2 1 3

---

# 9
Structure and computed X-ray powder pattern of Li4Mn3Co3Sn2O16 (the GGA+U geometry in the Materials Project; Cu Kα, 1.54184 Å).
Neutral-atom scattering factors, no anomalous dispersion.

Crystal structure
```
data_Li4Mn3Co3Sn2O16
_chemical_formula_sum 'Li8 Mn6 Co6 Sn4 O32'
_space_group_name_H-M_alt 'C 1 m 1'
_space_group_IT_number 8
_cell_length_a 10.0545
_cell_length_b 5.8240
_cell_length_c 9.6382
_cell_angle_alpha 90.00
_cell_angle_beta 90.14
_cell_angle_gamma 90.00
loop_
_space_group_symop_operation_xyz
'x,y,z'
'x,-y,z'
'x+1/2,y+1/2,z'
'x+1/2,-y+1/2,z'
loop_
_atom_site_label
_atom_site_type_symbol
_atom_site_fract_x
_atom_site_fract_y
_atom_site_fract_z
Li1 Li 0.0000 0.0000 0.0000
Li2 Li 0.0021 0.0000 0.5024
Li3 Li 0.1674 0.5000 0.8949
Li4 Li 0.3361 0.0000 0.4004
Mn1 Mn 0.0876 0.2538 0.2225
Mn2 Mn 0.1725 0.0000 0.7218
Co1 Co 0.3325 0.5000 0.2219
Co2 Co 0.4175 0.2456 0.7223
Sn1 Sn 0.1730 0.5000 0.5018
Sn2 Sn 0.3386 0.0000 0.9980
O1 O 0.0016 0.0000 0.3151
O2 O 0.0029 0.0000 0.8136
O3 O 0.0193 0.5000 0.3399
O4 O 0.0826 0.2358 0.6105
O5 O 0.1616 0.0000 0.1100
O6 O 0.1677 0.5000 0.1179
O7 O 0.2434 0.2733 0.3392
O8 O 0.2604 0.2260 0.8387
O9 O 0.3358 0.0000 0.6195
O10 O 0.3480 0.5000 0.6101
O11 O 0.4261 0.2627 0.1103
O12 O 0.4849 0.0000 0.8369
```

Top 10 peaks for 10 to 90 degrees two-theta, sorted by position:
2θ (°)  Rel. int.  index
18.41  152  0 0 2
19.89  1000  2 0 1
25.59  319  1 1 -2
33.07  438  2 0 -3
36.05  384  0 2 2
36.14  189  3 1 2
36.88  289  2 2 1
45.77  254  4 0 -3
60.47  288  2 2 -5
64.12  174  6 2 0

---

Copy entry 3 word for word.
Structure and computed X-ray powder pattern of LiFeF4 (the GGA+U geometry in the Materials Project; Cu Kα, 1.54184 Å).
Neutral-atom scattering factors, no anomalous dispersion.

Crystal structure
```
data_LiFeF4
_chemical_formula_sum 'Li2 Fe2 F8'
_space_group_name_H-M_alt 'P 1 21/c 1'
_space_group_IT_number 14
_cell_length_a 5.6494
_cell_length_b 4.7727
_cell_length_c 5.6591
_cell_angle_alpha 90.00
_cell_angle_beta 114.64
_cell_angle_gamma 90.00
loop_
_space_group_symop_operation_xyz
'x,y,z'
'-x,-y,-z'
'-x,y+1/2,-z+1/2'
'x,-y+1/2,z+1/2'
loop_
_atom_site_label
_atom_site_type_symbol
_atom_site_fract_x
_atom_site_fract_y
_atom_site_fract_z
Li1 Li 0.0000 0.0000 0.0000
Fe1 Fe 0.5000 0.0000 0.5000
F1 F 0.1729 0.1855 0.3624
F2 F 0.3576 0.7069 0.6602
```

Top 10 peaks for 10 to 90 degrees two-theta, sorted by position:
2θ (°)  Rel. int.  index
17.27  950  1 0 0
25.46  696  0 1 1
26.45  1000  1 1 -1
34.90  248  0 0 2
37.10  171  2 1 -1
39.84  534  0 1 2
42.41  203  2 1 -2
52.33  525  2 2 0
54.45  250  2 2 -2
66.24  164  1 3 1